Entry 1:
Structure and theoretical PXRD pattern of Hg3Pd4 (a cell relaxed with PBE; CuKα).
Kinematic intensities with the Lorentz-polarization factor, no thermal factor.

Largest 10 diffraction maxima, most intense first, 10 to 90 degrees two-theta:
38.72 deg, I 100.0
38.85 deg, I 98.3
70.14 deg, I 51.1
56.01 deg, I 34.1
27.16 deg, I 17.8
70.43 deg, I 16.7
83.06 deg, I 10.9
83.39 deg, I 10.5
47.93 deg, I 4.4
63.24 deg, I 3.6

Crystal structure
```
data_Hg3Pd4
_chemical_formula_sum 'Hg18 Pd24'
_cell_length_a 12.3059
_cell_length_b 12.3059
_cell_length_c 5.6690
_cell_angle_alpha 90.00
_cell_angle_beta 90.00
_cell_angle_gamma 120.00
_space_group_name_H-M_alt 'R -3'
_space_group_IT_number 148
_space_group_name_Hall '-R 3'
loop_
_atom_site_label
_atom_site_type_symbol
_atom_site_fract_x
_atom_site_fract_y
_atom_site_fract_z
_atom_site_occupancy
Hg1 Hg 0.0465 0.8141 0.1783 1
Pd1 Pd 0.0000 0.0000 0.0000 1
Pd2 Pd 0.0000 0.0000 0.5000 1
Pd3 Pd 0.0486 0.8066 0.6717 1
```

***

Entry 2:
Structure and theoretical PXRD pattern of HgPd3 (a cell relaxed with PBE; CuKα).
Kinematic intensities with the Lorentz-polarization factor, no thermal factor.

Largest 10 diffraction maxima, most intense first, 10 to 90 degrees two-theta:
40.71 deg, I 100.0
38.36 deg, I 35.7
41.97 deg, I 33.2
70.95 deg, I 19.1
35.71 deg, I 17.7
37.11 deg, I 16.9
78.99 deg, I 16.4
66.00 deg, I 13.4
82.18 deg, I 11.5
53.41 deg, I 11.2

Crystal structure
```
data_HgPd3
_chemical_formula_sum 'Hg2 Pd6'
_cell_length_a 2.941
_cell_length_b 9.387
_cell_length_c 4.845
_cell_angle_alpha 90.00
_cell_angle_beta 90.00
_cell_angle_gamma 90.00
_space_group_name_H-M_alt 'I m m 2'
_space_group_IT_number 44
loop_
_space_group_symop_operation_xyz
'x,y,z'
'-x,-y,z'
'-x,y,z'
'x,-y,z'
'x+1/2,y+1/2,z+1/2'
'-x+1/2,-y+1/2,z+1/2'
'-x+1/2,y+1/2,z+1/2'
'x+1/2,-y+1/2,z+1/2'
loop_
_atom_site_label
_atom_site_type_symbol
_atom_site_fract_x
_atom_site_fract_y
_atom_site_fract_z
_atom_site_occupancy
Hg1 Hg 0.000 0.000 0.000 1
Pd1 Pd 0.000 0.248 0.362 1
Pd2 Pd 0.000 0.500 0.002 1
```

***

Entry 3:
Structure and theoretical PXRD pattern of Pm3Hg2Pd7 (a cell relaxed with PBE; CuKα).
Kinematic intensities with the Lorentz-polarization factor, no thermal factor.

Largest 10 diffraction maxima, most intense first, 10 to 90 degrees two-theta:
34.23 deg, I 100.0
37.35 deg, I 78.2
41.18 deg, I 73.9
32.01 deg, I 62.8
44.86 deg, I 61.2
43.06 deg, I 60.8
32.60 deg, I 58.0
39.42 deg, I 41.3
63.93 deg, I 37.3
55.03 deg, I 26.6

Crystal structure
```
data_Pm3Hg2Pd7
_chemical_formula_sum 'Pm3 Hg2 Pd7'
_cell_length_a 4.201
_cell_length_b 4.040
_cell_length_c 15.127
_cell_angle_alpha 90.00
_cell_angle_beta 97.93
_cell_angle_gamma 90.00
_space_group_name_H-M_alt 'P 1 2/m 1'
_space_group_IT_number 10
loop_
_space_group_symop_operation_xyz
'x,y,z'
'-x,-y,-z'
'-x,y,-z'
'x,-y,z'
loop_
_atom_site_label
_atom_site_type_symbol
_atom_site_fract_x
_atom_site_fract_y
_atom_site_fract_z
_atom_site_occupancy
Pm1 Pm 0.000 0.000 0.000 1
Pm2 Pm 0.311 0.500 0.621 1
Hg1 Hg 0.132 0.000 0.265 1
Pd1 Pd 0.070 0.500 0.140 1
Pd2 Pd 0.223 0.000 0.445 1
Pd3 Pd 0.429 0.000 0.858 1
Pd4 Pd 0.500 0.500 0.000 1
```

***

Copy entry 3 word for word.
Structure and theoretical PXRD pattern of Pm3Hg2Pd7 (a cell relaxed with PBE; CuKα).
Kinematic intensities with the Lorentz-polarization factor, no thermal factor.

Largest 10 diffraction maxima, most intense first, 10 to 90 degrees two-theta:
34.23 deg, I 100.0
37.35 deg, I 78.2
41.18 deg, I 73.9
32.01 deg, I 62.8
44.86 deg, I 61.2
43.06 deg, I 60.8
32.60 deg, I 58.0
39.42 deg, I 41.3
63.93 deg, I 37.3
55.03 deg, I 26.6

Crystal structure
```
data_Pm3Hg2Pd7
_chemical_formula_sum 'Pm3 Hg2 Pd7'
_cell_length_a 4.201
_cell_length_b 4.040
_cell_length_c 15.127
_cell_angle_alpha 90.00
_cell_angle_beta 97.93
_cell_angle_gamma 90.00
_space_group_name_H-M_alt 'P 1 2/m 1'
_space_group_IT_number 10
loop_
_space_group_symop_operation_xyz
'x,y,z'
'-x,-y,-z'
'-x,y,-z'
'x,-y,z'
loop_
_atom_site_label
_atom_site_type_symbol
_atom_site_fract_x
_atom_site_fract_y
_atom_site_fract_z
_atom_site_occupancy
Pm1 Pm 0.000 0.000 0.000 1
Pm2 Pm 0.311 0.500 0.621 1
Hg1 Hg 0.132 0.000 0.265 1
Pd1 Pd 0.070 0.500 0.140 1
Pd2 Pd 0.223 0.000 0.445 1
Pd3 Pd 0.429 0.000 0.858 1
Pd4 Pd 0.500 0.500 0.000 1
```